Ca2TaMoO6: simulated X-ray diffraction stick pattern (copper Kα), based on a structure optimized by DFT (GGA+U).
Neutral-atom scattering factors, no anomalous dispersion.

Structural model:
```
Ca2TaMoO6
1.0
5.5642 0.0000 0.0000
0.0000 7.9449 0.0000
-0.0305 0.0000 5.7537
Ca Ta Mo O
4 2 2 12
direct
0.0103 0.2500 0.0448 Ca
0.4898 0.2500 0.5608 Ca
0.5102 0.7500 0.4392 Ca
0.9897 0.7500 0.9552 Ca
0.0000 0.0000 0.5000 Ta
0.0000 0.5000 0.5000 Ta
0.5000 0.0000 0.0000 Mo
0.5000 0.5000 0.0000 Mo
0.0945 0.7500 0.5341 O
0.1867 0.0520 0.7861 O
0.1867 0.4480 0.7861 O
0.2897 0.0507 0.3114 O
0.2897 0.4493 0.3114 O
0.3824 0.7500 0.0515 O
0.6176 0.2500 0.9485 O
0.7103 0.5507 0.6886 O
0.7103 0.9493 0.6886 O
0.8133 0.5520 0.2139 O
0.8133 0.9480 0.2139 O
0.9056 0.2500 0.4659 O
```

Principal peaks in the range 10° ≤ 2θ ≤ 90°, in order of falling intensity:
2θ (°)	intensity	index
31.75	100	1 2 -1
22.33	52	1 0 1
22.17	26	1 0 -1
31.09	25	0 0 2
56.99	23	3 2 -1
32.17	23	2 0 0
45.68	14	0 4 0
45.47	13	2 0 2
45.22	13	2 0 -2
51.29	12	2 2 2